For TlAuO, a GGA-PBE-relaxed structure gives the computed XRD peak list in this record (Cu Kα).
Peak positions follow from Bragg's law for the DFT cell and can differ from measured ones.

Atomic structure:
Unit cell a=3.4969 b=13.1483 c=4.8244 alpha=90.00 beta=90.00 gamma=90.00
Element x y z (fractional)
Tl: 0.0000 0.1505 0.0000
Tl: 0.0000 0.8495 0.5000
Tl: 0.5000 0.3495 0.5000
Tl: 0.5000 0.6505 0.0000
Au: 0.0000 0.4462 0.0928
Au: 0.0000 0.5538 0.5928
Au: 0.5000 0.0538 0.5928
Au: 0.5000 0.9462 0.0928
O: 0.0000 0.3114 0.7974
O: 0.0000 0.6886 0.2974
O: 0.5000 0.1886 0.2974
O: 0.5000 0.8114 0.7974

Principal peaks in the range 15° ≤ 2θ ≤ 90°, by intensity:
- hkl 1 1 1, 2θ 32.34, rel. 100
- hkl 0 4 1, 2θ 32.97, rel. 88
- hkl 1 3 0, 2θ 32.76, rel. 76
- hkl 1 3 1, 2θ 37.83, rel. 66
- hkl 1 3 2, 2θ 50.46, rel. 41
- hkl 0 0 2, 2θ 37.28, rel. 35
- hkl 0 6 1, 2θ 45.46, rel. 32
- hkl 2 4 1, 2θ 63.25, rel. 28
- hkl 1 7 0, 2θ 55.54, rel. 25
- hkl 0 10 0, 2θ 71.79, rel. 24